# 1
Diffraction record for Li2TiSn3P6O24. The powder diffraction line list is theoretical, not measured: it uses a DFT-relaxed cell (GGA-PBE, the Materials Project) and a wavelength of 1.5418 Å.
Neutral-atom scattering factors, no anomalous dispersion.

Structure:
a b c (Å): 8.8672 8.8672 8.8672
angles (deg): 58.91 58.91 58.91
Sites, in units of the cell vectors:
Li: 0.0000 0.0000 0.0000
Li: 0.4966 0.4966 0.4966
Ti: 0.3553 0.3553 0.3553
Sn: 0.1450 0.1450 0.1450
Sn: 0.6449 0.6449 0.6449
Sn: 0.8563 0.8563 0.8563
P: 0.0469 0.7476 0.4544
P: 0.2503 0.5428 0.9588
P: 0.4544 0.0469 0.7476
P: 0.5428 0.9588 0.2503
P: 0.7476 0.4544 0.0469
P: 0.9588 0.2503 0.5428
O: 0.0206 0.7849 0.6195
O: 0.0679 0.9138 0.2671
O: 0.0813 0.7293 0.9495
O: 0.1241 0.3015 0.4949
O: 0.2031 0.3862 0.9826
O: 0.2306 0.5780 0.4302
O: 0.2671 0.0679 0.9138
O: 0.3015 0.4949 0.1241
O: 0.3862 0.9826 0.2031
O: 0.4150 0.5644 0.7707
O: 0.4302 0.2306 0.5780
O: 0.4842 0.8800 0.7123
O: 0.4949 0.1241 0.3015
O: 0.5644 0.7707 0.4150
O: 0.5780 0.4302 0.2306
O: 0.6195 0.0206 0.7849
O: 0.7123 0.4842 0.8800
O: 0.7293 0.9495 0.0813
O: 0.7707 0.4150 0.5644
O: 0.7849 0.6195 0.0206
O: 0.8800 0.7123 0.4842
O: 0.9138 0.2671 0.0679
O: 0.9495 0.0813 0.7293
O: 0.9826 0.2031 0.3862

Largest 10 diffraction maxima, low angle first, 2θ from 15° to 90°:
2theta	intensity
20.03	100
20.37	82
23.77	75
28.72	60
31.98	57
35.47	34
35.66	36
48.65	23
52.68	24
55.78	24

=====

# 2
Diffraction record for LiTiSnP3O12. The powder diffraction line list is theoretical, not measured: it uses a DFT-relaxed cell (GGA-PBE, the Materials Project) and a wavelength of 1.5418 Å.
Neutral-atom scattering factors, no anomalous dispersion.

Structure:
a b c (Å): 8.7457 8.7457 8.7457
angles (deg): 59.58 59.58 59.58
Sites, in units of the cell vectors:
Li: 0.0000 0.0000 0.0000
Li: 0.5000 0.5000 0.5000
Ti: 0.3596 0.3596 0.3596
Ti: 0.8596 0.8596 0.8596
Sn: 0.1446 0.1446 0.1446
Sn: 0.6446 0.6446 0.6446
P: 0.0464 0.4606 0.7499
P: 0.2499 0.9606 0.5464
P: 0.4606 0.7499 0.0464
P: 0.5464 0.2499 0.9606
P: 0.7499 0.0464 0.4606
P: 0.9606 0.5464 0.2499
O: 0.0008 0.6261 0.8045
O: 0.0612 0.2703 0.9143
O: 0.0840 0.9422 0.7350
O: 0.1261 0.5008 0.3045
O: 0.1971 0.9914 0.3883
O: 0.2350 0.4422 0.5840
O: 0.2703 0.9143 0.0612
O: 0.3045 0.1261 0.5008
O: 0.3883 0.1971 0.9914
O: 0.4143 0.7703 0.5612
O: 0.4422 0.5840 0.2350
O: 0.4914 0.6971 0.8883
O: 0.5008 0.3045 0.1261
O: 0.5612 0.4143 0.7703
O: 0.5840 0.2350 0.4422
O: 0.6261 0.8045 0.0008
O: 0.6971 0.8883 0.4914
O: 0.7350 0.0840 0.9422
O: 0.7703 0.5612 0.4143
O: 0.8045 0.0008 0.6261
O: 0.8883 0.4914 0.6971
O: 0.9143 0.0612 0.2703
O: 0.9422 0.7350 0.0840
O: 0.9914 0.3883 0.1971

Largest 10 diffraction maxima, low angle first, 2θ from 15° to 90°:
2theta	intensity
20.31	100
20.44	75
23.95	97
28.97	60
32.39	60
35.75	71
46.50	29
49.04	23
53.44	21
55.97	40

=====

# 3
Diffraction record for SrLiPO4. The powder diffraction line list is theoretical, not measured: it uses a DFT-relaxed cell (GGA-PBE, the Materials Project) and a wavelength of 1.5418 Å.
Neutral-atom scattering factors, no anomalous dispersion.

Structure:
a b c (Å): 5.0837 5.0837 8.4413
angles (deg): 90.00 90.00 120.00
Sites, in units of the cell vectors:
Sr: 0.0000 0.0000 0.0000
Sr: 0.0000 0.0000 0.5000
Li: 0.3333 0.6667 0.1917
Li: 0.6667 0.3333 0.6917
P: 0.3333 0.6667 0.7881
P: 0.6667 0.3333 0.2881
O: 0.0590 0.6968 0.7318
O: 0.3032 0.3622 0.7318
O: 0.3333 0.6667 0.9716
O: 0.3622 0.0590 0.2318
O: 0.6378 0.9410 0.7318
O: 0.6667 0.3333 0.4716
O: 0.6968 0.6378 0.2318
O: 0.9410 0.3032 0.2318

Largest 10 diffraction maxima, low angle first, 2θ from 15° to 90°:
2theta	intensity
20.17	46
22.78	36
29.31	100
35.31	45
41.47	38
42.85	16
46.53	29
56.69	16
59.73	25
63.38	15